Structure and theoretical powder XRD pattern of MnAlCu2S4 (a structure optimized by DFT (PBE); Cu Kα (weighted mean of Kα1 and Kα2)).
Neutral-atom scattering factors, no anomalous dispersion.

Peak list (8 most intense, 15 to 90 degrees two-theta, by angle)
(1 1 2), 29.0 deg, I 100; (2 2 0), 48.1 deg, I 21; (2 0 4), 48.4 deg, I 41; (3 1 2), 57.1 deg, I 26; (1 1 6), 57.8 deg, I 12; (4 0 0), 70.3 deg, I 6; (3 1 6), 78.4 deg, I 10; (4 2 4), 90.0 deg, I 13

Structure:
```
data_MnAlCu2S4
_cell_length_a 5.355
_cell_length_b 5.355
_cell_length_c 10.559
_cell_angle_alpha 90.00
_cell_angle_beta 90.00
_cell_angle_gamma 90.00
_symmetry_space_group_name_H-M 'I -4 2 m'
_symmetry_Int_Tables_number 121
_symmetry_space_group_name_Hall 'I -4 2'
loop_
_atom_site_label
_atom_site_type_symbol
_atom_site_fract_x
_atom_site_fract_y
_atom_site_fract_z
_atom_site_occupancy
Mn1 Mn 0.000 0.000 0.000 1
Al1 Al 0.000 0.000 0.500 1
Cu1 Cu 0.000 0.500 0.250 1
S1 S 0.244 0.244 0.626 1
```